Starting from a crystal structure in OQMD, relaxed with PBE, the XRD peak list of TbMgCuTeSe2 was simulated for Cu Kα X-rays.

Structure:
Lattice parameters (Å, degrees): 3.927 13.387 10.983 90.00 90.00 90.00
Space group Cmcm (No. 63)
Inequivalent atoms, fractional coordinates:
Tb: 0.000 0.000 0.000 (multiplicity 4)
Mg: 0.000 0.201 0.250 (multiplicity 4)
Cu: 0.000 0.479 0.750 (multiplicity 4)
Te: 0.000 0.112 0.750 (multiplicity 4)
Se: 0.000 0.359 0.581 (multiplicity 8)

Top 10 peaks for 2θ from 15° to 90°, in order of rising 2θ:
index	2theta	Rel. int.
1 1 1	25.0	25
0 2 3	27.8	39
1 3 1	31.4	30
0 0 4	32.6	19
1 3 2	34.5	100
0 2 4	35.3	18
1 1 4	40.7	25
1 5 2	44.1	36
2 0 0	46.2	22
0 8 0	54.8	18